Structure and calculated powder XRD pattern of TmTl2Ge (a GGA-PBE-relaxed structure; Cu Kα (λ = 1.5418 Å)).

Main lines, in order of falling intensity (10° ≤ 2θ ≤ 80°):
29.8 deg, intensity 100; 40.7 deg, intensity 92; 30.2 deg, intensity 84; 32.8 deg, intensity 78; 42.7 deg, intensity 49; 52.6 deg, intensity 48; 63.4 deg, intensity 41; 24.5 deg, intensity 32

Atomic structure:
```
12
Lattice="3.479 0.000 0.000 -1.740 3.013 0.000 0.000 0.000 32.759" Properties=species:S:1:pos:R:3 pbc="T T T"
Tm 0.000 0.000 0.000
Tm 0.000 2.009 21.839
Tm 1.740 1.004 10.920
Tl 0.000 0.000 3.086
Tl 0.000 0.000 29.673
Tl 0.000 2.009 18.753
Tl 0.000 2.009 24.925
Tl 1.740 1.004 7.834
Tl 1.740 1.004 14.005
Ge 0.000 0.000 16.379
Ge 0.000 2.009 5.460
Ge 1.740 1.004 27.299
```